Diffraction record for Na11Zn2O8. The powder X-ray diffraction pattern is simulated, not measured: it uses a cell relaxed with GGA-PBE and Cu Kα (weighted mean of Kα1 and Kα2).

Atomic structure:
```
data_Na11Zn2O8
_chemical_formula_sum 'Na22 Zn4 O16'
_space_group_name_H-M_alt 'C 1 2 1'
_space_group_IT_number 5
_cell_length_a 9.968
_cell_length_b 10.680
_cell_length_c 5.452
_cell_angle_alpha 90.00
_cell_angle_beta 91.13
_cell_angle_gamma 90.00
loop_
_space_group_symop_operation_xyz
'x,y,z'
'-x,y,-z'
'x+1/2,y+1/2,z'
'-x+1/2,y+1/2,-z'
loop_
_atom_site_label
_atom_site_fract_x
_atom_site_fract_y
_atom_site_fract_z
_atom_site_occupancy
Na1 0.000 0.000 0.000 1
Na2 0.000 0.074 0.500 1
Na3 0.000 0.507 0.500 1
Na4 0.200 0.523 0.086 1
Na5 0.200 0.776 0.010 1
Na6 0.204 0.282 0.480 1
Na7 0.248 0.026 0.402 1
Zn1 0.000 0.278 0.000 1
Zn2 0.000 0.788 0.500 1
O1 0.116 0.389 0.797 1
O2 0.126 0.909 0.686 1
O3 0.127 0.667 0.349 1
O4 0.128 0.156 0.171 1
```

Peak list (10 most intense, 2θ = 10–90°, low angle first)
20.20°, intensity 86, hkl 1 1 -1; 20.49°, intensity 76, hkl 1 1 1; 29.69°, intensity 32, hkl 2 2 1; 32.39°, intensity 41, hkl 3 1 -1; 32.90°, intensity 100, hkl 0 0 2; 33.56°, intensity 42, hkl 0 4 0; 40.44°, intensity 62, hkl 3 3 -1; 40.89°, intensity 73, hkl 3 3 1; 47.68°, intensity 72, hkl 0 4 2; 50.08°, intensity 93, hkl 4 4 0



Diffraction record for NaZr3O6. The powder X-ray diffraction pattern is simulated, not measured: it uses a cell relaxed with GGA-PBE and Cu Kα (weighted mean of Kα1 and Kα2).

Atomic structure:
```
data_NaZr3O6
_chemical_formula_sum 'Na1 Zr3 O6'
_space_group_name_H-M_alt 'P -3 m 1'
_space_group_IT_number 164
_space_group_name_Hall '-P 3 2"'
_cell_length_a 3.2353
_cell_length_b 3.2353
_cell_length_c 15.0313
_cell_angle_alpha 90.00
_cell_angle_beta 90.00
_cell_angle_gamma 120.00
loop_
_atom_site_label
_atom_site_fract_x
_atom_site_fract_y
_atom_site_fract_z
_atom_site_occupancy
Na1 0.0000 0.0000 0.0000 1
Zr1 0.0000 0.0000 0.1960 1
Zr2 0.0000 0.0000 0.5000 1
O1 0.3333 0.6667 0.2619 1
O2 0.3333 0.6667 0.5665 1
O3 0.3333 0.6667 0.8893 1
```

Peak list (10 most intense, 2θ = 10–90°, low angle first)
17.70°, intensity 100, hkl 0 0 3; 23.68°, intensity 19, hkl 0 0 4; 31.94°, intensity 70, hkl 1 0 0; 36.75°, intensity 80, hkl 0 1 3; 40.15°, intensity 30, hkl 0 1 4; 48.76°, intensity 36, hkl 0 1 6; 53.79°, intensity 24, hkl 0 1 7; 56.92°, intensity 30, hkl 1 1 0; 60.11°, intensity 20, hkl 1 1 3; 71.19°, intensity 19, hkl 1 0 10



Diffraction record for Na6ZrO5. The powder X-ray diffraction pattern is simulated, not measured: it uses a cell relaxed with GGA-PBE and Cu Kα (weighted mean of Kα1 and Kα2).

Atomic structure:
```
data_Na6ZrO5
_chemical_formula_sum 'Na12 Zr2 O10'
_space_group_name_H-M_alt 'I 4 m m'
_space_group_IT_number 107
_space_group_name_Hall 'I 4 -2'
_cell_length_a 7.648
_cell_length_b 7.648
_cell_length_c 5.458
_cell_angle_alpha 90.00
_cell_angle_beta 90.00
_cell_angle_gamma 90.00
loop_
_atom_site_label
_atom_site_fract_x
_atom_site_fract_y
_atom_site_fract_z
_atom_site_occupancy
Na1 0.000 0.500 0.000 1
Na2 0.199 0.199 0.398 1
Zr1 0.000 0.000 0.847 1
O1 0.000 0.000 0.215 1
O2 0.000 0.266 0.742 1
```

Peak list (10 most intense, 2θ = 10–90°, low angle first)
16.39°, intensity 52, hkl 1 1 0; 19.99°, intensity 98, hkl 1 0 1; 23.26°, intensity 37, hkl 2 0 0; 30.85°, intensity 79, hkl 2 1 1; 33.13°, intensity 52, hkl 2 2 0; 36.89°, intensity 50, hkl 1 1 2; 38.99°, intensity 100, hkl 3 0 1; 47.33°, intensity 42, hkl 2 2 2; 47.55°, intensity 44, hkl 4 0 0; 50.42°, intensity 37, hkl 3 1 2



Diffraction record for Na6Zr2O7. The powder X-ray diffraction pattern is simulated, not measured: it uses a cell relaxed with GGA-PBE and Cu Kα (weighted mean of Kα1 and Kα2).

Atomic structure:
```
data_Na6Zr2O7
_chemical_formula_sum 'Na24 Zr8 O28'
_space_group_name_H-M_alt 'C 1 2/c 1'
_space_group_IT_number 15
_cell_length_a 11.279
_cell_length_b 6.459
_cell_length_c 10.902
_cell_angle_alpha 90.00
_cell_angle_beta 101.84
_cell_angle_gamma 90.00
loop_
_space_group_symop_operation_xyz
'x,y,z'
'-x,-y,-z'
'-x,y,-z+1/2'
'x,-y,z+1/2'
'x+1/2,y+1/2,z'
'-x+1/2,-y+1/2,-z'
'-x+1/2,y+1/2,-z+1/2'
'x+1/2,-y+1/2,z+1/2'
loop_
_atom_site_label
_atom_site_fract_x
_atom_site_fract_y
_atom_site_fract_z
_atom_site_occupancy
Na1 0.065 0.141 0.097 1
Na2 0.070 0.394 0.618 1
Na3 0.198 0.128 0.881 1
Zr1 0.183 0.377 0.368 1
O1 0.000 0.346 0.250 1
O2 0.125 0.399 0.966 1
O3 0.144 0.143 0.501 1
O4 0.246 0.105 0.244 1
```

Peak list (10 most intense, 2θ = 10–90°, low angle first)
15.90°, intensity 24, hkl 1 1 0; 16.06°, intensity 42, hkl 2 0 0; 17.16°, intensity 49, hkl 1 1 -1; 21.83°, intensity 32, hkl 1 1 -2; 33.35°, intensity 20, hkl 4 0 -2; 34.08°, intensity 38, hkl 2 2 1; 38.93°, intensity 100, hkl 2 2 -3; 39.73°, intensity 48, hkl 4 0 2; 56.68°, intensity 29, hkl 6 2 -1; 57.01°, intensity 39, hkl 0 4 0



Diffraction record for Na2Os. The powder X-ray diffraction pattern is simulated, not measured: it uses a cell relaxed with GGA-PBE and Cu Kα (weighted mean of Kα1 and Kα2).

Atomic structure:
Unit cell a=7.342 b=7.342 c=7.342 alpha=90.00 beta=90.00 gamma=90.00
Space group Fd-3m (No. 227, origin choice 2)
Unique sites:
Na (0.000, 0.000, 0.000) x16
Os (0.125, 0.125, 0.625) x8

Peak list (10 most intense, 2θ = 10–90°, low angle first)
20.96°, intensity 76, hkl 1 1 1; 34.55°, intensity 100, hkl 2 2 0; 40.76°, intensity 90, hkl 3 1 1; 49.67°, intensity 10, hkl 4 0 0; 54.48°, intensity 19, hkl 3 3 1; 61.91°, intensity 38, hkl 4 2 2; 66.13°, intensity 28, hkl 5 1 1; 72.88°, intensity 18, hkl 4 4 0; 76.81°, intensity 14, hkl 5 3 1; 83.22°, intensity 17, hkl 6 2 0



Diffraction record for Na2Os5. The powder X-ray diffraction pattern is simulated, not measured: it uses a cell relaxed with GGA-PBE and Cu Kα (weighted mean of Kα1 and Kα2).

Atomic structure:
```
data_Na2Os5
_chemical_formula_sum 'Na6 Os15'
_space_group_name_H-M_alt 'R 3 m'
_space_group_IT_number 160
_space_group_name_Hall 'R 3 -2"'
_cell_length_a 4.3195
_cell_length_b 4.3195
_cell_length_c 21.0472
_cell_angle_alpha 90.00
_cell_angle_beta 90.00
_cell_angle_gamma 120.00
loop_
_atom_site_label
_atom_site_fract_x
_atom_site_fract_y
_atom_site_fract_z
_atom_site_occupancy
Na1 0.0000 0.0000 0.0000 1
Na2 0.0000 0.0000 0.4807 1
Os1 0.0000 0.0000 0.1200 1
Os2 0.0000 0.0000 0.2404 1
Os3 0.0000 0.0000 0.6205 1
Os4 0.0000 0.0000 0.7384 1
Os5 0.0000 0.0000 0.8726 1
```

Peak list (10 most intense, 2θ = 10–90°, low angle first)
12.62°, intensity 19, hkl 0 0 3; 24.16°, intensity 15, hkl 1 0 1; 25.27°, intensity 56, hkl 0 1 2; 25.39°, intensity 16, hkl 0 0 6; 41.83°, intensity 100, hkl 1 1 0; 41.98°, intensity 95, hkl 0 1 8; 49.54°, intensity 26, hkl 2 0 2; 60.76°, intensity 32, hkl 2 0 8; 76.38°, intensity 17, hkl 3 0 0; 76.49°, intensity 33, hkl 1 2 8



Diffraction record for Na3SnOs6. The powder X-ray diffraction pattern is simulated, not measured: it uses a cell relaxed with GGA-PBE and Cu Kα (weighted mean of Kα1 and Kα2).

Atomic structure:
```
data_Na3SnOs6
_chemical_formula_sum 'Na6 Sn2 Os12'
_space_group_name_H-M_alt 'I 4/m m m'
_space_group_IT_number 139
_space_group_name_Hall '-I 4 2'
_cell_length_a 7.189
_cell_length_b 7.189
_cell_length_c 11.209
_cell_angle_alpha 90.00
_cell_angle_beta 90.00
_cell_angle_gamma 90.00
loop_
_atom_site_label
_atom_site_fract_x
_atom_site_fract_y
_atom_site_fract_z
_atom_site_occupancy
Na1 0.000 0.000 0.000 1
Na2 0.000 0.500 0.250 1
Sn1 0.000 0.000 0.500 1
Os1 0.000 0.000 0.283 1
Os2 0.000 0.345 0.500 1
```

Peak list (10 most intense, 2θ = 10–90°, low angle first)
14.64°, intensity 100, hkl 1 0 1; 15.81°, intensity 47, hkl 0 0 2; 23.63°, intensity 95, hkl 1 1 2; 24.77°, intensity 86, hkl 2 0 0; 31.94°, intensity 50, hkl 0 0 4; 36.88°, intensity 41, hkl 2 1 3; 38.41°, intensity 71, hkl 3 0 1; 39.64°, intensity 30, hkl 3 1 0; 40.83°, intensity 34, hkl 2 0 4; 56.19°, intensity 38, hkl 3 0 5



Diffraction record for Na4TlOs3. The powder X-ray diffraction pattern is simulated, not measured: it uses a cell relaxed with GGA-PBE and Cu Kα (weighted mean of Kα1 and Kα2).

Atomic structure:
```
data_Na4TlOs3
_chemical_formula_sum 'Na8 Tl2 Os6'
_space_group_name_H-M_alt 'I -4 2 m'
_space_group_IT_number 121
_space_group_name_Hall 'I -4 2'
_cell_length_a 8.085
_cell_length_b 8.085
_cell_length_c 5.114
_cell_angle_alpha 90.00
_cell_angle_beta 90.00
_cell_angle_gamma 90.00
loop_
_atom_site_label
_atom_site_fract_x
_atom_site_fract_y
_atom_site_fract_z
_atom_site_occupancy
Na1 0.246 0.246 0.362 1
Tl1 0.000 0.000 0.000 1
Os1 0.000 0.000 0.500 1
Os2 0.000 0.500 0.250 1
```

Peak list (10 most intense, 2θ = 10–90°, low angle first)
21.99°, intensity 100, hkl 2 0 0; 31.29°, intensity 71, hkl 2 2 0; 38.57°, intensity 65, hkl 1 1 2; 44.84°, intensity 27, hkl 4 0 0; 50.48°, intensity 83, hkl 3 1 2; 60.60°, intensity 18, hkl 3 3 2; 65.28°, intensity 9, hkl 4 4 0; 69.79°, intensity 28, hkl 5 1 2; 74.17°, intensity 14, hkl 6 2 0; 78.46°, intensity 27, hkl 2 0 4



Diffraction record for Na4P2PdPt. The powder X-ray diffraction pattern is simulated, not measured: it uses a cell relaxed with GGA-PBE and Cu Kα (weighted mean of Kα1 and Kα2).

Atomic structure:
```
data_Na4P2PdPt
_chemical_formula_sum 'Na8 P4 Pd2 Pt2'
_space_group_name_H-M_alt 'C 1 2/m 1'
_space_group_IT_number 12
_cell_length_a 6.768
_cell_length_b 8.690
_cell_length_c 5.555
_cell_angle_alpha 90.00
_cell_angle_beta 90.21
_cell_angle_gamma 90.00
loop_
_space_group_symop_operation_xyz
'x,y,z'
'-x,-y,-z'
'-x,y,-z'
'x,-y,z'
'x+1/2,y+1/2,z'
'-x+1/2,-y+1/2,-z'
'-x+1/2,y+1/2,-z'
'x+1/2,-y+1/2,z'
loop_
_atom_site_label
_atom_site_fract_x
_atom_site_fract_y
_atom_site_fract_z
_atom_site_occupancy
Na1 0.149 0.179 0.248 1
P1 0.224 0.000 0.756 1
Pd1 0.000 0.500 0.500 1
Pt1 0.000 0.500 0.000 1
```

Peak list (10 most intense, 2θ = 10–90°, low angle first)
16.60°, intensity 100, hkl 1 1 0; 20.44°, intensity 41, hkl 0 2 0; 26.34°, intensity 11, hkl 2 0 0; 33.62°, intensity 48, hkl 1 3 0; 36.46°, intensity 46, hkl 1 1 -2; 38.47°, intensity 16, hkl 0 2 2; 41.35°, intensity 20, hkl 3 1 0; 42.01°, intensity 10, hkl 2 0 -2; 47.15°, intensity 11, hkl 2 2 -2; 47.29°, intensity 24, hkl 2 2 2



Diffraction record for NaZnP. The powder X-ray diffraction pattern is simulated, not measured: it uses a cell relaxed with GGA-PBE and Cu Kα (weighted mean of Kα1 and Kα2).

Atomic structure:
```
data_NaZnP
_chemical_formula_sum 'Na4 Zn4 P4'
_space_group_name_H-M_alt 'C m c 21'
_space_group_IT_number 36
_cell_length_a 4.044
_cell_length_b 6.972
_cell_length_c 8.584
_cell_angle_alpha 90.00
_cell_angle_beta 90.00
_cell_angle_gamma 90.00
loop_
_space_group_symop_operation_xyz
'x,y,z'
'-x,-y,z+1/2'
'-x,y,z'
'x,-y,z+1/2'
'x+1/2,y+1/2,z'
'-x+1/2,-y+1/2,z+1/2'
'-x+1/2,y+1/2,z'
'x+1/2,-y+1/2,z+1/2'
loop_
_atom_site_label
_atom_site_fract_x
_atom_site_fract_y
_atom_site_fract_z
_atom_site_occupancy
Na1 0.000 0.002 0.000 1
Zn1 0.000 0.334 0.250 1
P1 0.000 0.332 0.749 1
```

Peak list (10 most intense, 2θ = 10–90°, low angle first)
20.69°, intensity 60, hkl 0 0 2; 27.56°, intensity 33, hkl 0 2 1; 33.06°, intensity 100, hkl 1 1 2; 42.11°, intensity 23, hkl 0 0 4; 44.82°, intensity 19, hkl 2 0 0; 44.99°, intensity 38, hkl 1 3 0; 49.85°, intensity 14, hkl 2 0 2; 50.00°, intensity 21, hkl 1 3 2; 63.18°, intensity 13, hkl 2 0 4; 63.31°, intensity 26, hkl 1 3 4



Diffraction record for NaTmPa. The powder X-ray diffraction pattern is simulated, not measured: it uses a cell relaxed with GGA-PBE and Cu Kα (weighted mean of Kα1 and Kα2).

Atomic structure:
```
data_NaTmPa
_chemical_formula_sum 'Na4 Tm4 Pa4'
_space_group_name_H-M_alt 'F -4 3 m'
_space_group_IT_number 216
_space_group_name_Hall 'F -4 2 3'
_cell_length_a 7.317
_cell_length_b 7.317
_cell_length_c 7.317
_cell_angle_alpha 90.00
_cell_angle_beta 90.00
_cell_angle_gamma 90.00
loop_
_atom_site_label
_atom_site_fract_x
_atom_site_fract_y
_atom_site_fract_z
_atom_site_occupancy
Na1 0.000 0.000 0.000 1
Tm1 0.250 0.250 0.250 1
Pa1 0.250 0.250 0.750 1
```

Peak list (10 most intense, 2θ = 10–90°, low angle first)
24.33°, intensity 95, hkl 2 0 0; 34.68°, intensity 100, hkl 2 2 0; 42.82°, intensity 29, hkl 2 2 2; 49.85°, intensity 18, hkl 4 0 0; 56.23°, intensity 40, hkl 4 2 0; 62.15°, intensity 38, hkl 4 2 2; 73.17°, intensity 12, hkl 4 4 0; 78.43°, intensity 20, hkl 6 0 0; 83.58°, intensity 17, hkl 6 2 0; 88.68°, intensity 12, hkl 6 2 2



Diffraction record for Na4SbPd2Pb. The powder X-ray diffraction pattern is simulated, not measured: it uses a cell relaxed with GGA-PBE and Cu Kα (weighted mean of Kα1 and Kα2).

Atomic structure:
```
data_Na4SbPd2Pb
_chemical_formula_sum 'Na4 Sb1 Pd2 Pb1'
_space_group_name_H-M_alt 'P -4 m 2'
_space_group_IT_number 115
_cell_length_a 4.885
_cell_length_b 4.885
_cell_length_c 6.899
_cell_angle_alpha 90.00
_cell_angle_beta 90.00
_cell_angle_gamma 90.00
loop_
_space_group_symop_operation_xyz
'x,y,z'
'y,-x,-z'
'-x,-y,z'
'-y,x,-z'
'-x,y,z'
'-y,-x,-z'
'x,-y,z'
'y,x,-z'
loop_
_atom_site_label
_atom_site_fract_x
_atom_site_fract_y
_atom_site_fract_z
_atom_site_occupancy
Na1 0.000 0.000 0.000 1
Na2 0.000 0.500 0.246 1
Na3 0.500 0.500 0.500 1
Sb1 0.500 0.500 0.000 1
Pd1 0.000 0.500 0.762 1
Pb1 0.000 0.000 0.500 1
```

Peak list (10 most intense, 2θ = 10–90°, low angle first)
22.30°, intensity 61, hkl 1 0 1; 36.82°, intensity 100, hkl 2 0 0; 43.47°, intensity 32, hkl 2 1 1; 53.05°, intensity 17, hkl 2 2 0; 58.24°, intensity 14, hkl 3 0 1; 66.31°, intensity 34, hkl 3 1 2; 70.92°, intensity 10, hkl 3 2 1; 78.33°, intensity 11, hkl 4 0 0; 82.67°, intensity 11, hkl 4 1 1; 89.79°, intensity 10, hkl 4 2 0



Diffraction record for Na2TlPd2Pb3. The powder X-ray diffraction pattern is simulated, not measured: it uses a cell relaxed with GGA-PBE and Cu Kα (weighted mean of Kα1 and Kα2).

Atomic structure:
```
data_Na2TlPd2Pb3
_chemical_formula_sum 'Na2 Tl1 Pd2 Pb3'
_space_group_name_H-M_alt 'P 1'
_space_group_IT_number 1
_cell_length_a 4.341
_cell_length_b 5.963
_cell_length_c 8.279
_cell_angle_alpha 90.22
_cell_angle_beta 90.00
_cell_angle_gamma 111.20
loop_
_space_group_symop_operation_xyz
'x,y,z'
loop_
_atom_site_label
_atom_site_fract_x
_atom_site_fract_y
_atom_site_fract_z
_atom_site_occupancy
Na1 0.000 0.000 0.000 1
Na2 0.134 0.265 0.503 1
Tl1 0.426 0.853 0.706 1
Pd1 0.283 0.563 0.002 1
Pd2 0.850 0.699 0.501 1
Pb1 0.424 0.848 0.300 1
Pb2 0.711 0.418 0.204 1
Pb3 0.711 0.418 0.798 1
```

Peak list (10 most intense, 2θ = 10–90°, low angle first)
15.94°, intensity 52, hkl 0 1 0; 19.23°, intensity 48, hkl 0 1 -1; 21.47°, intensity 37, hkl 0 0 2; 21.98°, intensity 75, hkl 1 -1 0; 30.91°, intensity 100, hkl -1 1 2; 31.74°, intensity 66, hkl 1 1 0; 38.59°, intensity 54, hkl 1 1 -2; 38.70°, intensity 53, hkl 1 1 2; 39.53°, intensity 91, hkl 1 0 -3; 41.61°, intensity 49, hkl 2 -1 0



Diffraction record for NaTlPdPb. The powder X-ray diffraction pattern is simulated, not measured: it uses a cell relaxed with GGA-PBE and Cu Kα (weighted mean of Kα1 and Kα2).

Atomic structure:
```
data_NaTlPdPb
_chemical_formula_sum 'Na2 Tl2 Pd2 Pb2'
_space_group_name_H-M_alt 'P -1'
_space_group_IT_number 2
_cell_length_a 4.324
_cell_length_b 5.928
_cell_length_c 8.325
_cell_angle_alpha 90.24
_cell_angle_beta 90.00
_cell_angle_gamma 111.35
loop_
_space_group_symop_operation_xyz
'x,y,z'
'-x,-y,-z'
loop_
_atom_site_label
_atom_site_fract_x
_atom_site_fract_y
_atom_site_fract_z
_atom_site_occupancy
Na1 0.067 0.132 0.255 1
Tl1 0.359 0.719 0.458 1
Pd1 0.218 0.436 0.752 1
Pb1 0.358 0.717 0.051 1
```

Peak list (10 most intense, 2θ = 10–90°, low angle first)
16.05°, intensity 50, hkl 0 1 0; 19.29°, intensity 46, hkl 0 1 -1; 21.35°, intensity 37, hkl 0 0 2; 22.08°, intensity 76, hkl 1 -1 0; 30.90°, intensity 100, hkl -1 1 2; 31.93°, intensity 64, hkl 1 1 0; 38.67°, intensity 54, hkl 1 1 -2; 38.80°, intensity 48, hkl 1 1 2; 39.43°, intensity 91, hkl 1 0 -3; 41.78°, intensity 49, hkl 2 -1 0